This entry pairs a crystal structure of Cu2Se with its computed PXRD pattern. Radiation: copper Kα. Structure: a DFT-relaxed cell (GGA-PBE, the Materials Project).
No peak broadening, texture or thermal motion is included.

Crystal structure
```
data_Cu2Se
_symmetry_space_group_name_H-M 'F -4 3 m'
_symmetry_Int_Tables_number 216
_symmetry_space_group_name_Hall 'F -4 2 3'
_cell_length_a 5.785
_cell_length_b 5.785
_cell_length_c 5.785
_cell_angle_alpha 90.00
_cell_angle_beta 90.00
_cell_angle_gamma 90.00
loop_
_atom_site_label
_atom_site_fract_x
_atom_site_fract_y
_atom_site_fract_z
Cu1 0.000 0.000 0.000
Cu2 0.250 0.250 0.250
Se1 0.250 0.250 0.750
```

Main lines, sorted by position (2θ from 10° to 90°):
- 26.7°, intensity 28, (1 1 1)
- 30.9°, intensity 18, (2 0 0)
- 44.3°, intensity 100, (2 2 0)
- 52.5°, intensity 12, (3 1 1)
- 55.0°, intensity 5, (2 2 2)
- 64.4°, intensity 15, (4 0 0)
- 71.0°, intensity 5, (3 3 1)
- 73.2°, intensity 6, (4 2 0)
- 81.5°, intensity 31, (4 2 2)
- 87.7°, intensity 3, (5 1 1)



This entry pairs a crystal structure of CuSe2 with its computed PXRD pattern. Radiation: copper Kα. Structure: a DFT-relaxed cell (GGA-PBE, the Materials Project).
No peak broadening, texture or thermal motion is included.

Crystal structure
```
data_CuSe2
_symmetry_space_group_name_H-M 'P a -3'
_symmetry_Int_Tables_number 205
_symmetry_space_group_name_Hall '-P 2ac 2ab 3'
_cell_length_a 6.159
_cell_length_b 6.159
_cell_length_c 6.159
_cell_angle_alpha 90.00
_cell_angle_beta 90.00
_cell_angle_gamma 90.00
loop_
_atom_site_label
_atom_site_fract_x
_atom_site_fract_y
_atom_site_fract_z
Cu1 0.000 0.000 0.000
Se1 0.111 0.611 0.889
```

Main lines, sorted by position (2θ from 10° to 90°):
- 29.0°, intensity 62, (2 0 0)
- 32.5°, intensity 100, (2 1 0)
- 35.7°, intensity 90, (2 1 1)
- 41.5°, intensity 27, (2 2 0)
- 49.1°, intensity 80, (3 1 1)
- 53.7°, intensity 42, (3 0 2)
- 55.9°, intensity 54, (3 2 1)
- 70.0°, intensity 19, (4 2 1)
- 71.9°, intensity 9, (3 3 2)
- 81.1°, intensity 35, (5 1 1)
- 84.8°, intensity 22, (4 2 3)
- 86.6°, intensity 13, (5 1 2)



This entry pairs a crystal structure of Cu2Se with its computed PXRD pattern. Radiation: copper Kα. Structure: a DFT-relaxed cell (GGA-PBE, the Materials Project).
No peak broadening, texture or thermal motion is included.

Crystal structure
```
data_Cu2Se
_symmetry_space_group_name_H-M 'C 1 m 1'
_symmetry_Int_Tables_number 8
_cell_length_a 7.298
_cell_length_b 4.204
_cell_length_c 13.643
_cell_angle_alpha 90.00
_cell_angle_beta 101.44
_cell_angle_gamma 90.00
loop_
_symmetry_equiv_pos_as_xyz
'x,y,z'
'x,-y,z'
'x+1/2,y+1/2,z'
'x+1/2,-y+1/2,z'
loop_
_atom_site_label
_atom_site_fract_x
_atom_site_fract_y
_atom_site_fract_z
Cu1 0.000 0.000 0.000
Cu2 0.002 0.500 0.504
Cu3 0.176 0.000 0.560
Cu4 0.219 0.000 0.358
Cu5 0.228 0.500 0.851
Cu6 0.237 0.000 0.743
Cu7 0.250 0.500 0.256
Cu8 0.480 0.000 0.104
Se1 0.032 0.000 0.192
Se2 0.040 0.500 0.686
Se3 0.286 0.000 0.940
Se4 0.301 0.500 0.446
```

Main lines, sorted by position (2θ from 10° to 90°):
- 25.8°, intensity 67, (2 0 -2)
- 26.1°, intensity 21, (1 1 1)
- 30.2°, intensity 22, (1 1 -3)
- 43.0°, intensity 97, (0 2 0)
- 43.4°, intensity 22, (2 0 -6)
- 44.1°, intensity 100, (1 1 5)
- 50.9°, intensity 51, (3 1 -5)
- 51.1°, intensity 15, (4 0 0)
- 51.8°, intensity 37, (1 1 -7)
- 62.7°, intensity 14, (2 2 -6)
- 68.9°, intensity 14, (4 2 0)
- 79.6°, intensity 16, (1 3 5)



This entry pairs a crystal structure of CuSe with its computed PXRD pattern. Radiation: copper Kα. Structure: a DFT-relaxed cell (GGA-PBE, the Materials Project).
No peak broadening, texture or thermal motion is included.

Crystal structure
```
data_CuSe
_symmetry_space_group_name_H-M 'P 63/m m c'
_symmetry_Int_Tables_number 194
_symmetry_space_group_name_Hall '-P 6c 2c'
_cell_length_a 3.9513
_cell_length_b 3.9513
_cell_length_c 17.5015
_cell_angle_alpha 90.00
_cell_angle_beta 90.00
_cell_angle_gamma 120.00
loop_
_atom_site_label
_atom_site_fract_x
_atom_site_fract_y
_atom_site_fract_z
Cu1 0.3333 0.6667 0.0377
Cu2 0.3333 0.6667 0.7500
Se1 0.0000 0.0000 0.0869
Se2 0.3333 0.6667 0.2500
```

Main lines, sorted by position (2θ from 10° to 90°):
- 20.3°, intensity 26, (0 0 4)
- 28.0°, intensity 27, (1 0 2)
- 30.3°, intensity 15, (1 0 3)
- 30.6°, intensity 40, (0 0 6)
- 33.2°, intensity 100, (1 0 4)
- 36.7°, intensity 26, (1 0 5)
- 45.9°, intensity 92, (1 1 0)
- 56.2°, intensity 41, (1 1 6)
- 57.9°, intensity 19, (2 0 4)
- 59.3°, intensity 23, (1 0 10)
- 76.9°, intensity 16, (2 1 4)
- 85.0°, intensity 15, (3 0 0)



This entry pairs a crystal structure of CuSe with its computed PXRD pattern. Radiation: copper Kα. Structure: a DFT-relaxed cell (GGA-PBE, the Materials Project).
No peak broadening, texture or thermal motion is included.

Crystal structure
```
data_CuSe
_symmetry_space_group_name_H-M 'P 63/m m c'
_symmetry_Int_Tables_number 194
_symmetry_space_group_name_Hall '-P 6c 2c'
_cell_length_a 4.0208
_cell_length_b 4.0208
_cell_length_c 17.4846
_cell_angle_alpha 90.00
_cell_angle_beta 90.00
_cell_angle_gamma 120.00
loop_
_atom_site_label
_atom_site_fract_x
_atom_site_fract_y
_atom_site_fract_z
Cu1 0.3333 0.6667 0.1077
Cu2 0.3333 0.6667 0.7500
Se1 0.0000 0.0000 0.0695
Se2 0.3333 0.6667 0.2500
```

Main lines, sorted by position (2θ from 10° to 90°):
- 26.1°, intensity 31, (1 0 1)
- 27.6°, intensity 100, (1 0 2)
- 29.9°, intensity 30, (1 0 3)
- 30.7°, intensity 66, (0 0 6)
- 44.6°, intensity 17, (1 0 7)
- 45.1°, intensity 97, (1 1 0)
- 49.2°, intensity 54, (1 0 8)
- 53.7°, intensity 15, (2 0 2)
- 55.5°, intensity 70, (1 1 6)
- 69.0°, intensity 19, (2 0 8)
- 83.2°, intensity 15, (3 0 0)
- 86.3°, intensity 21, (2 1 8)



This entry pairs a crystal structure of CuSe2 with its computed PXRD pattern. Radiation: copper Kα. Structure: a DFT-relaxed cell (GGA-PBE, the Materials Project).
No peak broadening, texture or thermal motion is included.

Crystal structure
```
data_CuSe2
_symmetry_space_group_name_H-M 'P n n m'
_symmetry_Int_Tables_number 58
_cell_length_a 5.042
_cell_length_b 6.219
_cell_length_c 3.811
_cell_angle_alpha 90.00
_cell_angle_beta 90.00
_cell_angle_gamma 90.00
loop_
_symmetry_equiv_pos_as_xyz
'x,y,z'
'-x,-y,-z'
'-x,-y,z'
'x,y,-z'
'x+1/2,-y+1/2,-z+1/2'
'-x+1/2,y+1/2,z+1/2'
'-x+1/2,y+1/2,-z+1/2'
'x+1/2,-y+1/2,z+1/2'
loop_
_atom_site_label
_atom_site_fract_x
_atom_site_fract_y
_atom_site_fract_z
Cu1 0.000 0.000 0.000
Se1 0.188 0.385 0.000
```

Main lines, sorted by position (2θ from 10° to 90°):
- 29.4°, intensity 100, (1 0 1)
- 32.8°, intensity 84, (1 1 1)
- 33.9°, intensity 86, (1 2 0)
- 41.5°, intensity 27, (1 2 1)
- 45.5°, intensity 83, (2 1 1)
- 47.7°, intensity 39, (0 0 2)
- 50.1°, intensity 32, (0 3 1)
- 52.5°, intensity 28, (2 2 1)
- 53.5°, intensity 33, (1 3 1)
- 56.7°, intensity 35, (3 1 0)
- 59.8°, intensity 33, (1 2 2)
- 77.2°, intensity 28, (3 1 2)



This entry pairs a crystal structure of Cu4Se3 with its computed PXRD pattern. Radiation: copper Kα. Structure: a DFT-relaxed cell (GGA-PBE, the Materials Project).
No peak broadening, texture or thermal motion is included.

Crystal structure
```
data_Cu4Se3
_symmetry_space_group_name_H-M 'R -3 m'
_symmetry_Int_Tables_number 166
_symmetry_space_group_name_Hall '-R 3 2"'
_cell_length_a 3.7758
_cell_length_b 3.7758
_cell_length_c 28.8836
_cell_angle_alpha 90.00
_cell_angle_beta 90.00
_cell_angle_gamma 120.00
loop_
_atom_site_label
_atom_site_fract_x
_atom_site_fract_y
_atom_site_fract_z
Cu1 0.0000 0.0000 0.1188
Cu2 0.0000 0.0000 0.3563
Se1 0.0000 0.0000 0.2683
Se2 0.0000 0.0000 0.5000
```

Main lines, sorted by position (2θ from 10° to 90°):
- 27.5°, intensity 10, (1 0 1)
- 28.0°, intensity 13, (0 1 2)
- 31.4°, intensity 67, (0 1 5)
- 37.1°, intensity 100, (0 1 8)
- 48.2°, intensity 81, (1 1 0)
- 49.6°, intensity 60, (1 0 13)
- 58.7°, intensity 11, (2 0 5)
- 62.3°, intensity 20, (2 0 8)
- 71.7°, intensity 19, (0 2 13)
- 79.3°, intensity 9, (1 2 5)
- 82.5°, intensity 18, (1 2 8)
- 87.8°, intensity 22, (1 1 21)